# Nd2Co2Cl
Theoretical XRD peak list, λ = 1.5418 Å (Cu Kα). Input: a cell relaxed with GGA-PBE.
Lines closer than 0.1° are merged.

Structural model:
```
5
Lattice="1.974 1.140 8.156 -1.974 1.140 8.156 0.000 -2.280 8.156" Properties=species:S:1:pos:R:3 pbc="T T T"
Nd 0.000 0.000 1.869
Nd 0.000 0.000 22.598
Co 0.000 0.000 8.136
Co 0.000 0.000 16.331
Cl 0.000 0.000 12.234
```

Principal peaks in the range 2θ = 15–90°, low angle first:
two_theta, intensity
26.31, 41
27.07, 30
29.93, 18
31.93, 100
36.77, 97
39.53, 36
44.43, 22
45.96, 73
57.06, 18
60.25, 22
65.85, 40
78.97, 20